La3F8: simulated powder XRD pattern (λ = 1.5418 Å (Cu Kα)), based on the GGA-PBE geometry in Alexandria.
Lines closer than 0.1° are merged.

Top 10 peaks for 2θ from 10° to 80°, low angle first:
2theta	I/Imax
15.35	33.2
21.77	27.7
26.75	100.0
30.99	18.7
34.75	15.8
38.19	13.0
44.39	70.6
52.59	46.2
64.58	10.6
71.21	18.5

Crystal structure
a b c (Å): 5.7722 5.7722 5.7722
angles (deg): 90.00 90.00 90.00
Sites, in units of the cell vectors:
La 0.0000 0.0000 0.5000
La 0.0000 0.5000 0.0000
La 0.5000 0.0000 0.0000
F 0.2458 0.2458 0.2458
F 0.2458 0.2458 0.7542
F 0.2458 0.7542 0.2458
F 0.2458 0.7542 0.7542
F 0.7542 0.2458 0.2458
F 0.7542 0.2458 0.7542
F 0.7542 0.7542 0.2458
F 0.7542 0.7542 0.7542

=====

LiLa2S2O8F3: simulated powder XRD pattern (λ = 1.5418 Å (Cu Kα)), based on the GGA-PBE geometry in Alexandria.
Lines closer than 0.1° are merged.

Top 10 peaks for 2θ from 10° to 80°, low angle first:
2theta	I/Imax
14.06	96.3
16.52	60.9
25.29	77.9
25.79	67.4
26.15	48.1
28.46	100.0
30.39	71.4
33.10	31.9
45.59	35.9
47.35	33.0

Crystal structure
a b c (Å): 8.6572 8.6572 8.3163
angles (deg): 114.56 114.56 47.99
Sites, in units of the cell vectors:
Li 0.0913 0.9087 0.7500
Li 0.9087 0.0913 0.2500
La 0.2851 0.4739 0.0322
La 0.4739 0.2851 0.5322
La 0.5261 0.7149 0.4678
La 0.7149 0.5261 0.9678
S 0.0862 0.2569 0.6519
S 0.2569 0.0862 0.1519
S 0.7431 0.9138 0.8481
S 0.9138 0.7431 0.3481
O 0.0232 0.2102 0.1216
O 0.0280 0.3560 0.8338
O 0.1052 0.6624 0.4957
O 0.2102 0.0232 0.6216
O 0.2163 0.3185 0.6651
O 0.3185 0.2163 0.1651
O 0.3376 0.8948 0.0043
O 0.3560 0.0280 0.3338
O 0.6440 0.9720 0.6662
O 0.6624 0.1052 0.9957
O 0.6815 0.7837 0.8349
O 0.7837 0.6815 0.3349
O 0.7898 0.9768 0.3784
O 0.8948 0.3376 0.5043
O 0.9720 0.6440 0.1662
O 0.9768 0.7898 0.8784
F 0.1932 0.8068 0.2500
F 0.4151 0.4875 0.8342
F 0.4875 0.4151 0.3342
F 0.5125 0.5849 0.6658
F 0.5849 0.5125 0.1658
F 0.8068 0.1932 0.7500

=====

Li2LaScF8: simulated powder XRD pattern (λ = 1.5418 Å (Cu Kα)), based on the GGA-PBE geometry in Alexandria.
Lines closer than 0.1° are merged.

Top 10 peaks for 2θ from 10° to 80°, low angle first:
2theta	I/Imax
11.88	31.5
17.55	100.0
21.73	49.9
23.89	44.1
26.88	50.3
28.10	40.0
29.20	30.3
39.73	35.7
45.54	24.4
47.88	24.4

Crystal structure
a b c (Å): 4.1052 5.1039 7.4995
angles (deg): 96.40 90.92 94.60
Sites, in units of the cell vectors:
Li 0.0371 0.4605 0.3047
Li 0.9629 0.5395 0.6953
La 0.5000 0.0000 0.0000
Sc 0.5000 0.0000 0.5000
F 0.0583 0.2555 0.0599
F 0.1256 0.2467 0.5145
F 0.3605 0.7609 0.2603
F 0.3847 0.7623 0.6997
F 0.6153 0.2377 0.3003
F 0.6395 0.2391 0.7397
F 0.8744 0.7533 0.4855
F 0.9417 0.7445 0.9401

=====

LaMgF5: simulated powder XRD pattern (λ = 1.5418 Å (Cu Kα)), based on the GGA-PBE geometry in Alexandria.
Lines closer than 0.1° are merged.

Top 10 peaks for 2θ from 10° to 80°, low angle first:
2theta	I/Imax
16.87	100.0
23.30	81.1
24.58	58.0
30.03	99.8
34.17	46.5
42.55	51.8
45.36	39.4
46.79	36.3
47.65	21.8
58.57	21.1

Crystal structure
a b c (Å): 6.3822 6.3822 6.3822
angles (deg): 111.11 106.54 110.81
Sites, in units of the cell vectors:
La 0.4674 0.2174 0.2500
La 0.5326 0.7826 0.7500
Mg 0.0000 0.0000 0.5000
Mg 0.0000 0.5000 0.0000
F 0.1150 0.8650 0.2500
F 0.2649 0.0000 0.7649
F 0.2649 0.5000 0.2649
F 0.2663 0.3332 0.5669
F 0.2663 0.6994 0.9331
F 0.7337 0.3006 0.0669
F 0.7337 0.6668 0.4331
F 0.7351 0.0000 0.2351
F 0.7351 0.5000 0.7351
F 0.8850 0.1350 0.7500